Structure and theoretical PXRD pattern of Ce2Zn5Ni5 (a crystal structure in Alexandria, relaxed with GGA-PBE; a wavelength of 1.5418 Å).
Lines closer than 0.1° are merged.

Structure:
```
data_Ce2Zn5Ni5
_chemical_formula_sum 'Ce2 Zn5 Ni5'
_cell_length_a 3.999
_cell_length_b 5.199
_cell_length_c 8.994
_cell_angle_alpha 90.00
_cell_angle_beta 90.00
_cell_angle_gamma 90.00
_symmetry_space_group_name_H-M 'P 1'
_symmetry_Int_Tables_number 1
loop_
_symmetry_equiv_pos_as_xyz
'x,y,z'
loop_
_atom_site_label
_atom_site_fract_x
_atom_site_fract_y
_atom_site_fract_z
Ce1 0.000 0.000 0.000
Ce2 0.000 0.500 0.500
Zn1 0.000 0.000 0.326
Zn2 0.000 0.000 0.674
Zn3 0.000 0.500 0.166
Zn4 0.000 0.500 0.834
Zn5 0.500 0.000 0.500
Ni1 0.500 0.252 0.248
Ni2 0.500 0.252 0.752
Ni3 0.500 0.500 0.000
Ni4 0.500 0.748 0.248
Ni5 0.500 0.748 0.752
```

Most intense lines, 10° ≤ 2θ ≤ 90°, low angle first:
hkl  Position (°2θ)  Rel. int.
1 1 1  29.9  36
0 2 0  34.5  32
0 0 4  40.1  32
1 1 3  41.4  100
2 0 0  45.4  24
2 2 0  58.2  14
2 0 4  62.1  17
1 3 3  66.6  23
0 4 0  72.8  16
3 1 3  81.1  13